Structure and theoretical X-ray powder pattern of LaTbNd2Sb4 (a PBE-relaxed structure; Cu Ka).

Cell and atoms:
```
data_LaTbNd2Sb4
_symmetry_space_group_name_H-M 'P 1 2/m 1'
_symmetry_Int_Tables_number 10
_cell_length_a 7.8267
_cell_length_b 4.5252
_cell_length_c 7.8329
_cell_angle_alpha 90.00
_cell_angle_beta 109.46
_cell_angle_gamma 90.00
loop_
_symmetry_equiv_pos_as_xyz
'x,y,z'
'-x,-y,-z'
'-x,y,-z'
'x,-y,z'
loop_
_atom_site_label
_atom_site_fract_x
_atom_site_fract_y
_atom_site_fract_z
La1 0.0000 0.0000 0.0000
Tb1 0.5000 0.5000 0.0000
Nd1 0.0000 0.5000 0.5000
Nd2 0.5000 0.0000 0.5000
Sb1 0.2556 0.5000 0.2503
Sb2 0.2566 0.0000 0.7537
```

The 11 most intense peaks (10° ≤ 2θ ≤ 90°), in order of rising 2θ:
Position (°2θ)	I_rel	h k l
24.10	1.6	2 0 0
27.90	100.0	1 1 1
39.87	76.6	0 2 0
47.13	0.9	3 1 1
49.36	27.4	0 0 4
57.65	12.9	2 2 2
65.24	35.2	1 3 1
72.38	23.8	2 0 -6
72.45	2.1	6 0 -2
85.96	5.6	0 4 0
86.03	2.8	6 2 -2